Computed powder X-ray diffraction pattern
Compound: LiB2H2
Radiation: Cu Kα X-rays
Structure: a structure optimized by DFT (GGA-PBE)
No peak broadening, texture or thermal motion is included.

Main lines, low angle first (2θ from 10° to 80°):
| 2theta | Rel. int. |
| --- | --- |
| 16.39 | 100 |
| 18.20 | 91 |
| 21.65 | 79 |
| 34.35 | 21 |
| 36.91 | 19 |
| 44.11 | 17 |
| 48.25 | 11 |
| 52.17 | 14 |
| 62.30 | 9 |
| 64.96 | 10 |

Atomic structure:
```
LiB2H2
1.0
5.000 0.000 0.000
0.000 2.981 0.000
-1.240 0.000 5.409
Li B H
2 4 4
Direct
0.000 0.000 0.000
0.351 0.500 0.397
0.322 0.000 0.773
0.406 0.500 0.959
0.511 0.000 0.085
0.702 0.500 0.203
0.072 0.000 0.693
0.436 0.000 0.596
0.723 0.500 0.426
0.947 0.500 0.181
```

---

Computed powder X-ray diffraction pattern
Compound: Cs5Ag3
Radiation: Cu Kα X-rays
Structure: a structure optimized by DFT (GGA-PBE)
No peak broadening, texture or thermal motion is included.

Main lines, low angle first (2θ from 10° to 80°):
| 2theta | Rel. int. |
| --- | --- |
| 24.98 | 100 |
| 25.81 | 20 |
| 26.53 | 64 |
| 28.92 | 59 |
| 31.69 | 16 |
| 38.32 | 17 |
| 43.93 | 21 |
| 49.18 | 15 |
| 51.66 | 19 |
| 51.81 | 15 |

Atomic structure:
```
Cs5Ag3
1.0
-4.882 4.882 9.262
4.882 -4.882 9.262
4.882 4.882 -9.262
Cs Ag
10 6
Direct
0.000 0.000 0.000
0.032 0.532 0.850
0.182 0.032 0.500
0.318 0.818 0.850
0.468 0.318 0.500
0.500 0.500 0.000
0.532 0.682 0.500
0.682 0.182 0.150
0.818 0.968 0.500
0.968 0.468 0.150
0.105 0.395 0.500
0.250 0.250 0.000
0.395 0.895 0.290
0.605 0.105 0.710
0.750 0.750 0.000
0.895 0.605 0.500
```

---

Computed powder X-ray diffraction pattern
Compound: Ca4Zn5Ge6
Radiation: Cu Kα X-rays
Structure: a structure optimized by DFT (GGA-PBE)
No peak broadening, texture or thermal motion is included.

Main lines, low angle first (2θ from 10° to 80°):
| 2theta | Rel. int. |
| --- | --- |
| 24.37 | 24 |
| 25.69 | 29 |
| 31.05 | 24 |
| 33.92 | 50 |
| 35.90 | 98 |
| 39.03 | 31 |
| 41.03 | 33 |
| 41.98 | 77 |
| 45.81 | 100 |
| 47.64 | 46 |

Atomic structure:
```
Ca4Zn5Ge6
1.0
2.152 -9.452 0.000
2.152 9.452 0.000
0.000 0.000 15.841
Ca Zn Ge
8 10 12
Direct
0.020 0.980 0.500
0.031 0.969 0.764
0.172 0.828 0.307
0.177 0.823 0.947
0.823 0.177 0.447
0.828 0.172 0.807
0.969 0.031 0.264
0.980 0.020 0.000
0.147 0.853 0.628
0.298 0.702 0.626
0.348 0.652 0.270
0.353 0.647 0.986
0.430 0.570 0.690
0.570 0.430 0.190
0.647 0.353 0.486
0.652 0.348 0.770
0.702 0.298 0.126
0.853 0.147 0.128
0.112 0.888 0.121
0.218 0.782 0.493
0.221 0.779 0.762
0.432 0.568 0.400
0.435 0.565 0.132
0.441 0.559 0.859
0.559 0.441 0.359
0.565 0.435 0.632
0.568 0.432 0.900
0.779 0.221 0.262
0.782 0.218 0.993
0.888 0.112 0.621
```